Calculated X-ray diffraction stick pattern of Pr2Y2O5 for λ = 1.5418 Å (Cu Kα), from the PBE geometry in the Materials Project.

Main lines, by intensity (2θ = 15–90°):
- 2θ = 28.2°, I 100, (1 0 2)
- 2θ = 47.1°, I 33, (1 1 4)
- 2θ = 32.3°, I 31, (1 1 0)
- 2θ = 55.1°, I 31, (2 1 2)
- 2θ = 46.3°, I 19, (2 0 0)
- 2θ = 33.4°, I 13, (0 0 4)
- 2θ = 56.5°, I 11, (1 0 6)
- 2θ = 86.4°, I 10, (3 1 4)

Structure:
Unit cell a=3.9220 b=3.9220 c=10.7372 alpha=90.00 beta=90.00 gamma=90.00
Space group P4/mmm (No. 123)
Inequivalent atoms, fractional coordinates:
Pr (0.0000, 0.0000, 0.2326)
Y (0.5000, 0.5000, 0.0000)
Y (0.5000, 0.5000, 0.5000)
O (0.0000, 0.0000, 0.5000)
O (0.0000, 0.5000, 0.1291)